1.
Calculated powder diffractogram of WSeS for a wavelength of 1.5418 Å, from DFT lattice parameters and positions (PBE).
Intensities are scaled so that the largest is 100.

Structural model:
Unit cell a=3.2573 b=3.2573 c=14.9163 alpha=90.00 beta=90.00 gamma=120.00
Space group P-3m1 (No. 164)
Symmetry-distinct sites (fractional):
W (0.3333, 0.6667, 0.2423) (multiplicity 2)
Se (0.3333, 0.6667, 0.6426) (multiplicity 2)
S (0.3333, 0.6667, 0.8607) (multiplicity 2)

Peak list (12 most intense, 5° ≤ 2θ ≤ 70°, by angle)
| d (Å) | 2θ (°) | I/Imax | (hkl) |
| --- | --- | --- | --- |
| 7.458 | 11.87 | 100 | 0 0 2 |
| 2.821 | 31.72 | 16 | 1 0 0 |
| 2.772 | 32.30 | 9 | 0 1 1 |
| 2.639 | 33.98 | 16 | 0 1 2 |
| 2.454 | 36.63 | 39 | 0 1 3 |
| 2.050 | 44.19 | 35 | 1 0 5 |
| 1.865 | 48.84 | 6 | 0 0 8 |
| 1.700 | 53.92 | 8 | 1 0 7 |
| 1.629 | 56.50 | 12 | 1 1 0 |
| 1.591 | 57.96 | 11 | 1 1 2 |
| 1.555 | 59.42 | 4 | 0 1 8 |
| 1.357 | 69.24 | 6 | 2 0 3 |

=====

2.
Calculated powder diffractogram of Ca2Al2SiO7 for a wavelength of 1.5418 Å, from DFT lattice parameters and positions (PBE).
Intensities are scaled so that the largest is 100.

Structural model:
Unit cell a=6.083 b=7.736 c=13.963 alpha=90.00 beta=90.00 gamma=90.00
Space group P2_12_12_1 (No. 19)
Symmetry-distinct sites (fractional):
Ca (0.057, 0.097, 0.454) (multiplicity 4)
Ca (0.138, 0.655, 0.428) (multiplicity 4)
Al (0.089, 0.743, 0.643) (multiplicity 4)
Al (0.238, 0.035, 0.729) (multiplicity 4)
Si (0.083, 0.359, 0.643) (multiplicity 4)
O (0.016, 0.850, 0.537) (multiplicity 4)
O (0.020, 0.399, 0.759) (multiplicity 4)
O (0.107, 0.781, 0.927) (multiplicity 4)
O (0.144, 0.151, 0.179) (multiplicity 4)
O (0.203, 0.123, 0.844) (multiplicity 4)
O (0.206, 0.534, 0.602) (multiplicity 4)
O (0.222, 0.792, 0.146) (multiplicity 4)

Peak list (12 most intense, 5° ≤ 2θ ≤ 70°, by angle)
| d (Å) | 2θ (°) | I/Imax | (hkl) |
| --- | --- | --- | --- |
| 5.577 | 15.89 | 73 | 1 0 1 |
| 3.945 | 22.54 | 52 | 1 1 2 |
| 3.728 | 23.87 | 42 | 0 2 1 |
| 3.335 | 26.73 | 64 | 1 1 3 |
| 3.179 | 28.07 | 33 | 1 2 1 |
| 3.028 | 29.50 | 62 | 1 0 4 |
| 2.973 | 30.05 | 100 | 2 0 1 |
| 2.672 | 33.53 | 33 | 1 2 3 |
| 2.357 | 38.19 | 38 | 2 2 1 |
| 2.263 | 39.83 | 58 | 0 2 5 |
| 1.965 | 46.20 | 37 | 2 3 0 |
| 1.539 | 60.12 | 33 | 1 2 8 |

=====

3.
Calculated powder diffractogram of SmEr3S6 for a wavelength of 1.5418 Å, from DFT lattice parameters and positions (PBE).
Intensities are scaled so that the largest is 100.

Structural model:
Unit cell a=10.999 b=3.948 c=11.266 alpha=90.00 beta=108.79 gamma=90.00
Space group P2_1/m (No. 11)
Symmetry-distinct sites (fractional):
Sm (0.047, 0.250, 0.193) (multiplicity 2)
Er (0.161, 0.250, 0.586) (multiplicity 2)
Er (0.319, 0.750, 0.998) (multiplicity 2)
Er (0.438, 0.250, 0.332) (multiplicity 2)
S (0.082, 0.750, 0.405) (multiplicity 2)
S (0.116, 0.250, 0.963) (multiplicity 2)
S (0.195, 0.750, 0.749) (multiplicity 2)
S (0.261, 0.750, 0.226) (multiplicity 2)
S (0.396, 0.250, 0.561) (multiplicity 2)
S (0.478, 0.250, 0.112) (multiplicity 2)

Peak list (12 most intense, 5° ≤ 2θ ≤ 70°, by angle)
| d (Å) | 2θ (°) | I/Imax | (hkl) |
| --- | --- | --- | --- |
| 3.754 | 23.70 | 80 | 1 0 -3 |
| 3.666 | 24.28 | 100 | 3 0 -1 |
| 3.619 | 24.60 | 28 | 1 1 -1 |
| 3.372 | 26.43 | 63 | 1 1 1 |
| 3.240 | 27.53 | 46 | 2 0 2 |
| 3.212 | 27.78 | 50 | 1 1 -2 |
| 2.870 | 31.17 | 70 | 2 1 1 |
| 2.607 | 34.40 | 53 | 3 1 0 |
| 2.126 | 42.52 | 60 | 4 1 -3 |
| 2.053 | 44.11 | 40 | 1 1 4 |
| 1.974 | 45.97 | 44 | 0 2 0 |
| 1.951 | 46.56 | 33 | 2 1 -5 |

=====

4.
Calculated powder diffractogram of Sr2InPd2 for a wavelength of 1.5418 Å, from DFT lattice parameters and positions (PBE).
Intensities are scaled so that the largest is 100.

Structural model:
Unit cell a=10.593 b=6.097 c=8.419 alpha=90.00 beta=103.74 gamma=90.00
Space group C2/c (No. 15)
Symmetry-distinct sites (fractional):
Sr (0.149, 0.140, 0.148) (multiplicity 8)
In (0.000, 0.365, 0.750) (multiplicity 4)
Pd (0.134, 0.364, 0.503) (multiplicity 8)

Peak list (12 most intense, 5° ≤ 2θ ≤ 70°, by angle)
| d (Å) | 2θ (°) | I/Imax | (hkl) |
| --- | --- | --- | --- |
| 5.246 | 16.90 | 54 | 1 1 0 |
| 2.885 | 31.00 | 48 | 2 0 2 |
| 2.857 | 31.31 | 72 | 0 2 1 |
| 2.693 | 33.26 | 60 | 3 1 -2 |
| 2.637 | 33.99 | 56 | 3 1 1 |
| 2.590 | 34.63 | 46 | 2 2 -1 |
| 2.548 | 35.22 | 87 | 1 1 -3 |
| 2.456 | 36.59 | 51 | 4 0 -2 |
| 2.414 | 37.25 | 100 | 2 2 1 |
| 1.988 | 45.63 | 30 | 1 1 -4 |
| 1.683 | 54.52 | 24 | 3 3 -2 |
| 1.527 | 60.63 | 38 | 6 2 -1 |

=====

5.
Calculated powder diffractogram of NiCN2 for a wavelength of 1.5418 Å, from DFT lattice parameters and positions (PBE).
Intensities are scaled so that the largest is 100.

Structural model:
Unit cell a=3.1302 b=3.1302 c=9.2897 alpha=90.00 beta=90.00 gamma=120.00
Space group P6_3/mmc (No. 194)
Symmetry-distinct sites (fractional):
Ni (0.0000, 0.0000, 0.0000) (multiplicity 2)
C (0.3333, 0.6667, 0.2500) (multiplicity 2)
N (0.3333, 0.6667, 0.1167) (multiplicity 4)

Peak list (12 most intense, 5° ≤ 2θ ≤ 70°, by angle)
| d (Å) | 2θ (°) | I/Imax | (hkl) |
| --- | --- | --- | --- |
| 4.645 | 19.11 | 67 | 0 0 2 |
| 2.711 | 33.04 | 34 | 1 0 0 |
| 2.602 | 34.46 | 18 | 1 0 1 |
| 2.341 | 38.45 | 100 | 1 0 2 |
| 2.322 | 38.77 | 8 | 0 0 4 |
| 2.040 | 44.41 | 1 | 1 0 3 |
| 1.764 | 51.84 | 44 | 1 0 4 |
| 1.565 | 59.02 | 25 | 1 1 0 |
| 1.548 | 59.72 | 2 | 0 0 6 |
| 1.483 | 62.63 | 16 | 1 1 2 |
| 1.355 | 69.33 | 4 | 2 0 0 |
| 1.344 | 69.98 | 17 | 1 0 6 |